(1)
For CaEu2BeO5, a structure optimized by DFT (GGA-PBE) gives the theoretical powder X-ray diffraction pattern in this record (Cu Kα).

Atomic structure:
Cell: 9.4874 6.5278 7.1486 Å, 90.00 90.00 90.00°
Fractional coordinates of all 36 atoms:
1 Ca 0.1747 0.0803 0.0000
2 Ca 0.3253 0.5803 0.5000
3 Ca 0.6747 0.4197 0.0000
4 Ca 0.8253 0.9197 0.5000
5 Eu 0.0218 0.5916 0.7671
6 Eu 0.1743 0.0777 0.5453
7 Eu 0.3257 0.5777 0.0453
8 Eu 0.4782 0.0916 0.2671
9 Eu 0.5218 0.9084 0.7671
10 Eu 0.6743 0.4223 0.5453
11 Eu 0.8257 0.9223 0.0453
12 Eu 0.9782 0.4084 0.2671
13 Be 0.1037 0.8078 0.2696
14 Be 0.3963 0.3078 0.7696
15 Be 0.6037 0.6922 0.2696
16 Be 0.8963 0.1922 0.7696
17 O 0.0126 0.0210 0.2702
18 O 0.0711 0.6869 0.0780
19 O 0.0722 0.6891 0.4620
20 O 0.2232 0.3625 0.7700
21 O 0.2237 0.3356 0.2697
22 O 0.2763 0.8356 0.7697
23 O 0.2768 0.8625 0.2700
24 O 0.4278 0.1891 0.9620
25 O 0.4289 0.1869 0.5780
26 O 0.4874 0.5210 0.7702
27 O 0.5126 0.4790 0.2702
28 O 0.5711 0.8131 0.0780
29 O 0.5722 0.8109 0.4620
30 O 0.7232 0.1375 0.7700
31 O 0.7237 0.1644 0.2697
32 O 0.7763 0.6644 0.7697
33 O 0.7768 0.6375 0.2700
34 O 0.9278 0.3109 0.9620
35 O 0.9289 0.3131 0.5780
36 O 0.9874 0.9790 0.7702

Principal peaks in the range 15° ≤ 2θ ≤ 90°, low angle first:
2θ (°)	I/Imax
20.67	32
26.36	19
28.93	20
30.02	58
31.39	100
31.57	35
38.54	24
45.91	20

(2)
For Pu2Te4Cl2O11, a structure optimized by DFT (GGA-PBE) gives the theoretical powder X-ray diffraction pattern in this record (Cu Kα).

Atomic structure:
Cell: 8.1638 9.7907 10.6421 Å, 110.47 108.37 97.41°
Fractional coordinates of all 38 atoms:
1 Pu 0.1188 0.3864 0.3804
2 Pu 0.3756 0.1237 0.1191
3 Pu 0.6244 0.8763 0.8809
4 Pu 0.8812 0.6136 0.6196
5 Te 0.0328 0.7480 0.0531
6 Te 0.2437 0.9911 0.7084
7 Te 0.2995 0.4679 0.7626
8 Te 0.4980 0.7657 0.4944
9 Te 0.5020 0.2343 0.5056
10 Te 0.7005 0.5321 0.2374
11 Te 0.7563 0.0089 0.2916
12 Te 0.9672 0.2520 0.9469
13 Cl 0.1397 0.8988 0.3918
14 Cl 0.4038 0.6305 0.1270
15 Cl 0.5962 0.3695 0.8730
16 Cl 0.8603 0.1012 0.6082
17 O 0.0343 0.3490 0.1522
18 O 0.0663 0.8219 0.6667
19 O 0.0983 0.4911 0.6181
20 O 0.1689 0.1750 0.9517
21 O 0.1922 0.9253 0.0831
22 O 0.3203 0.5909 0.4377
23 O 0.3300 0.2431 0.3347
24 O 0.3324 0.3568 0.5860
25 O 0.3919 0.0086 0.8971
26 O 0.4273 0.8929 0.6642
27 O 0.4439 0.6607 0.8205
28 O 0.5561 0.3393 0.1795
29 O 0.5727 0.1071 0.3358
30 O 0.6081 0.9914 0.1029
31 O 0.6676 0.6432 0.4140
32 O 0.6700 0.7569 0.6653
33 O 0.6797 0.4091 0.5623
34 O 0.8078 0.0747 0.9169
35 O 0.8311 0.8250 0.0483
36 O 0.9017 0.5089 0.3819
37 O 0.9337 0.1781 0.3333
38 O 0.9657 0.6510 0.8478

Principal peaks in the range 15° ≤ 2θ ≤ 90°, low angle first:
2θ (°)	I/Imax
22.78	93
23.16	37
23.90	29
26.82	100
32.54	27
33.47	44
37.38	29
43.43	24

(3)
For KNdPdO3, a structure optimized by DFT (GGA-PBE) gives the theoretical powder X-ray diffraction pattern in this record (Cu Kα).

Atomic structure:
Cell: 6.9724 6.9724 7.5740 Å, 104.30 104.30 33.12°
Fractional coordinates of all 12 atoms:
1 K 0.1437 0.1437 0.0650
2 K 0.8563 0.8563 0.9350
3 Nd 0.1495 0.1495 0.5785
4 Nd 0.8505 0.8505 0.4215
5 Pd 0.4932 0.4932 0.7276
6 Pd 0.5068 0.5068 0.2724
7 O 0.0067 0.0067 0.3116
8 O 0.3309 0.3309 0.6328
9 O 0.3476 0.3476 0.2218
10 O 0.6524 0.6524 0.7782
11 O 0.6691 0.6691 0.3672
12 O 0.9933 0.9933 0.6884

Principal peaks in the range 15° ≤ 2θ ≤ 90°, low angle first:
2θ (°)	I/Imax
30.61	67
31.04	41
31.89	39
32.67	100
41.97	22
45.65	26
53.63	16
54.72	17

(4)
For TmH2ClO2, a structure optimized by DFT (GGA-PBE) gives the theoretical powder X-ray diffraction pattern in this record (Cu Kα).

Atomic structure:
Cell: 6.1877 3.5484 6.6350 Å, 90.00 105.38 90.00°
Fractional coordinates of all 12 atoms:
1 Tm 0.2183 0.2500 0.3910
2 Tm 0.7817 0.7500 0.6090
3 H 0.1430 0.2500 0.8018
4 H 0.3734 0.7500 0.7312
5 H 0.6266 0.2500 0.2688
6 H 0.8570 0.7500 0.1982
7 Cl 0.2704 0.7500 0.0780
8 Cl 0.7296 0.2500 0.9220
9 O 0.0473 0.2500 0.6588
10 O 0.3941 0.7500 0.5904
11 O 0.6059 0.2500 0.4096
12 O 0.9527 0.7500 0.3412

Principal peaks in the range 15° ≤ 2θ ≤ 90°, low angle first:
2θ (°)	I/Imax
17.43	57
22.92	82
27.93	50
29.28	73
29.95	68
30.72	100
34.24	74
37.87	94

(5)
For ZnIn2S4, a structure optimized by DFT (GGA-PBE) gives the theoretical powder X-ray diffraction pattern in this record (Cu Kα).

Atomic structure:
Cell: 25.3126 25.3126 25.3126 Å, 8.91 8.91 8.91°
Fractional coordinates of all 14 atoms:
1 Zn 0.0000 0.0000 0.0000
2 Zn 0.1677 0.1677 0.1677
3 In 0.4387 0.4387 0.4387
4 In 0.6050 0.6050 0.6050
5 In 0.7189 0.7189 0.7189
6 In 0.8857 0.8857 0.8857
7 S 0.0357 0.0357 0.0357
8 S 0.1196 0.1196 0.1196
9 S 0.2024 0.2024 0.2024
10 S 0.4061 0.4061 0.4061
11 S 0.4943 0.4943 0.4943
12 S 0.5726 0.5726 0.5726
13 S 0.6599 0.6599 0.6599
14 S 0.9525 0.9525 0.9525

Principal peaks in the range 15° ≤ 2θ ≤ 90°, low angle first:
2θ (°)	I/Imax
21.14	100
26.60	45
27.47	93
29.27	26
39.86	54
46.18	76
49.99	25
51.32	54

Copy entry 1 word for word.
For CaEu2BeO5, a structure optimized by DFT (GGA-PBE) gives the theoretical powder X-ray diffraction pattern in this record (Cu Kα).

Atomic structure:
Cell: 9.4874 6.5278 7.1486 Å, 90.00 90.00 90.00°
Fractional coordinates of all 36 atoms:
1 Ca 0.1747 0.0803 0.0000
2 Ca 0.3253 0.5803 0.5000
3 Ca 0.6747 0.4197 0.0000
4 Ca 0.8253 0.9197 0.5000
5 Eu 0.0218 0.5916 0.7671
6 Eu 0.1743 0.0777 0.5453
7 Eu 0.3257 0.5777 0.0453
8 Eu 0.4782 0.0916 0.2671
9 Eu 0.5218 0.9084 0.7671
10 Eu 0.6743 0.4223 0.5453
11 Eu 0.8257 0.9223 0.0453
12 Eu 0.9782 0.4084 0.2671
13 Be 0.1037 0.8078 0.2696
14 Be 0.3963 0.3078 0.7696
15 Be 0.6037 0.6922 0.2696
16 Be 0.8963 0.1922 0.7696
17 O 0.0126 0.0210 0.2702
18 O 0.0711 0.6869 0.0780
19 O 0.0722 0.6891 0.4620
20 O 0.2232 0.3625 0.7700
21 O 0.2237 0.3356 0.2697
22 O 0.2763 0.8356 0.7697
23 O 0.2768 0.8625 0.2700
24 O 0.4278 0.1891 0.9620
25 O 0.4289 0.1869 0.5780
26 O 0.4874 0.5210 0.7702
27 O 0.5126 0.4790 0.2702
28 O 0.5711 0.8131 0.0780
29 O 0.5722 0.8109 0.4620
30 O 0.7232 0.1375 0.7700
31 O 0.7237 0.1644 0.2697
32 O 0.7763 0.6644 0.7697
33 O 0.7768 0.6375 0.2700
34 O 0.9278 0.3109 0.9620
35 O 0.9289 0.3131 0.5780
36 O 0.9874 0.9790 0.7702

Principal peaks in the range 15° ≤ 2θ ≤ 90°, low angle first:
2θ (°)	I/Imax
20.67	32
26.36	19
28.93	20
30.02	58
31.39	100
31.57	35
38.54	24
45.91	20